Computed powder diffraction line list of DyTm2Zn2In2 for Cu Kα X-rays, from a DFT-relaxed cell (PBE, Alexandria).
Neutral-atom scattering factors, no anomalous dispersion.

The 10 most intense peaks (2θ from 5° to 70°), by angle:
| d/Å | 2θ (°) | I (rel.) | (hkl) |
| --- | --- | --- | --- |
| 4.021 | 22.11 | 37 | 1 0 1 |
| 2.784 | 32.16 | 68 | 1 0 7 |
| 2.581 | 34.75 | 96 | 0 1 8 |
| 2.348 | 38.34 | 100 | 1 1 0 |
| 1.795 | 50.88 | 19 | 0 2 7 |
| 1.737 | 52.70 | 29 | 2 0 8 |
| 1.426 | 65.46 | 18 | 2 1 7 |
| 1.419 | 65.80 | 34 | 1 1 15 |
| 1.396 | 67.02 | 28 | 1 2 8 |
| 1.356 | 69.32 | 17 | 3 0 0 |

Structural model:
```
data_DyTm2Zn2In2
_chemical_formula_sum 'Dy3 Tm6 Zn6 In6'
_cell_length_a 4.6960
_cell_length_b 4.6960
_cell_length_c 26.7263
_cell_angle_alpha 90.00
_cell_angle_beta 90.00
_cell_angle_gamma 120.00
_space_group_name_H-M_alt 'R -3 m'
_space_group_IT_number 166
_space_group_name_Hall '-R 3 2"'
loop_
_atom_site_label
_atom_site_type_symbol
_atom_site_fract_x
_atom_site_fract_y
_atom_site_fract_z
_atom_site_occupancy
Dy1 Dy 0.0000 0.0000 0.0000 1
Tm1 Tm 0.0000 0.0000 0.1280 1
Zn1 Zn 0.0000 0.0000 0.3978 1
In1 In 0.0000 0.0000 0.2613 1
```

=====

Computed powder diffraction line list of Na3Pd3RhO8 for Cu Kα X-rays, from a DFT-relaxed cell (PBE, Alexandria).
Neutral-atom scattering factors, no anomalous dispersion.

The 10 most intense peaks (2θ from 5° to 70°), by angle:
| d/Å | 2θ (°) | I (rel.) | (hkl) |
| --- | --- | --- | --- |
| 5.423 | 16.34 | 100 | 0 0 1 |
| 2.819 | 31.74 | 13 | 4 0 -1 |
| 2.712 | 33.03 | 17 | 0 0 2 |
| 2.653 | 33.78 | 23 | 2 2 -1 |
| 2.604 | 34.45 | 27 | 2 2 0 |
| 2.592 | 34.61 | 13 | 4 0 -2 |
| 2.420 | 37.15 | 27 | 4 0 0 |
| 2.211 | 40.82 | 44 | 2 2 -2 |
| 1.661 | 55.31 | 14 | 2 2 2 |
| 1.605 | 57.42 | 15 | 6 2 -2 |

Structural model:
```
data_Na3Pd3RhO8
_chemical_formula_sum 'Na6 Pd6 Rh2 O16'
_cell_length_a 11.316
_cell_length_b 6.177
_cell_length_c 6.340
_cell_angle_alpha 90.00
_cell_angle_beta 121.19
_cell_angle_gamma 90.00
_space_group_name_H-M_alt 'C 1 2/m 1'
_space_group_IT_number 12
loop_
_space_group_symop_operation_xyz
'x,y,z'
'-x,-y,-z'
'-x,y,-z'
'x,-y,z'
'x+1/2,y+1/2,z'
'-x+1/2,-y+1/2,-z'
'-x+1/2,y+1/2,-z'
'x+1/2,-y+1/2,z'
loop_
_atom_site_label
_atom_site_type_symbol
_atom_site_fract_x
_atom_site_fract_y
_atom_site_fract_z
_atom_site_occupancy
Na1 Na 0.000 0.000 0.000 1
Na2 Na 0.250 0.250 0.000 1
Pd1 Pd 0.000 0.500 0.500 1
Pd2 Pd 0.250 0.250 0.500 1
Rh1 Rh 0.000 0.000 0.500 1
O1 O 0.034 0.254 0.323 1
O2 O 0.215 0.000 0.688 1
O3 O 0.231 0.000 0.268 1
```

=====

Computed powder diffraction line list of PrEu2Ti for Cu Kα X-rays, from a DFT-relaxed cell (PBE, Alexandria).
Neutral-atom scattering factors, no anomalous dispersion.

The 10 most intense peaks (2θ from 5° to 70°), by angle:
| d/Å | 2θ (°) | I (rel.) | (hkl) |
| --- | --- | --- | --- |
| 3.886 | 22.89 | 18 | 0 0 9 |
| 2.914 | 30.68 | 26 | 0 0 12 |
| 2.876 | 31.09 | 100 | 1 0 4 |
| 2.793 | 32.05 | 13 | 0 1 5 |
| 2.499 | 35.93 | 61 | 0 1 8 |
| 2.016 | 44.96 | 14 | 1 0 13 |
| 1.776 | 51.46 | 14 | 1 0 16 |
| 1.759 | 52.00 | 24 | 1 1 0 |
| 1.506 | 61.59 | 21 | 1 1 12 |
| 1.500 | 61.84 | 14 | 0 2 4 |

Structural model:
```
data_PrEu2Ti
_chemical_formula_sum 'Pr3 Eu6 Ti3'
_cell_length_a 3.5173
_cell_length_b 3.5173
_cell_length_c 34.9714
_cell_angle_alpha 90.00
_cell_angle_beta 90.00
_cell_angle_gamma 120.00
_space_group_name_H-M_alt 'R -3 m'
_space_group_IT_number 166
_space_group_name_Hall '-R 3 2"'
loop_
_atom_site_label
_atom_site_type_symbol
_atom_site_fract_x
_atom_site_fract_y
_atom_site_fract_z
_atom_site_occupancy
Pr1 Pr 0.0000 0.0000 0.0000 1
Eu1 Eu 0.0000 0.0000 0.2409 1
Ti1 Ti 0.0000 0.0000 0.5000 1
```

=====

Computed powder diffraction line list of SmTmGa4 for Cu Kα X-rays, from a DFT-relaxed cell (PBE, Alexandria).
Neutral-atom scattering factors, no anomalous dispersion.

The 10 most intense peaks (2θ from 5° to 70°), by angle:
| d/Å | 2θ (°) | I (rel.) | (hkl) |
| --- | --- | --- | --- |
| 3.657 | 24.34 | 14 | 1 0 0 |
| 2.736 | 32.73 | 100 | 1 0 2 |
| 2.111 | 42.83 | 41 | 1 1 0 |
| 2.062 | 43.91 | 13 | 0 0 4 |
| 1.828 | 49.87 | 2 | 2 0 0 |
| 1.796 | 50.84 | 4 | 1 0 4 |
| 1.672 | 54.93 | 23 | 2 0 2 |
| 1.475 | 63.02 | 25 | 1 1 4 |
| 1.382 | 67.80 | 2 | 2 1 0 |
| 1.368 | 68.60 | 2 | 2 0 4 |

Structural model:
```
data_SmTmGa4
_chemical_formula_sum 'Sm1 Tm1 Ga4'
_cell_length_a 4.2227
_cell_length_b 4.2227
_cell_length_c 8.2471
_cell_angle_alpha 90.00
_cell_angle_beta 90.00
_cell_angle_gamma 120.00
_space_group_name_H-M_alt 'P 6/m m m'
_space_group_IT_number 191
_space_group_name_Hall '-P 6 2'
loop_
_atom_site_label
_atom_site_type_symbol
_atom_site_fract_x
_atom_site_fract_y
_atom_site_fract_z
_atom_site_occupancy
Sm1 Sm 0.0000 0.0000 0.0000 1
Tm1 Tm 0.0000 0.0000 0.5000 1
Ga1 Ga 0.3333 0.6667 0.2578 1
```

=====

Computed powder diffraction line list of Pm2TlPtO6 for Cu Kα X-rays, from a DFT-relaxed cell (PBE, Alexandria).
Neutral-atom scattering factors, no anomalous dispersion.

The 10 most intense peaks (2θ from 5° to 70°), by angle:
| d/Å | 2θ (°) | I (rel.) | (hkl) |
| --- | --- | --- | --- |
| 3.092 | 28.87 | 48 | 0 2 0 |
| 2.992 | 29.87 | 100 | 1 1 1 |
| 2.966 | 30.13 | 98 | 1 1 -3 |
| 2.829 | 31.62 | 43 | 2 0 -2 |
| 2.125 | 42.53 | 20 | 0 0 4 |
| 2.088 | 43.34 | 41 | 2 2 -2 |
| 1.760 | 51.96 | 21 | 1 3 -3 |
| 1.752 | 52.22 | 20 | 0 2 4 |
| 1.668 | 55.07 | 21 | 3 1 -1 |
| 1.654 | 55.56 | 21 | 3 1 -5 |

Structural model:
```
data_Pm2TlPtO6
_chemical_formula_sum 'Pm4 Tl2 Pt2 O12'
_cell_length_a 5.659
_cell_length_b 6.184
_cell_length_c 10.158
_cell_angle_alpha 90.00
_cell_angle_beta 123.18
_cell_angle_gamma 90.00
_space_group_name_H-M_alt 'P 1 21/c 1'
_space_group_IT_number 14
loop_
_space_group_symop_operation_xyz
'x,y,z'
'-x,-y,-z'
'-x,y+1/2,-z+1/2'
'x,-y+1/2,z+1/2'
loop_
_atom_site_label
_atom_site_type_symbol
_atom_site_fract_x
_atom_site_fract_y
_atom_site_fract_z
_atom_site_occupancy
Pm1 Pm 0.214 0.042 0.227 1
Tl1 Tl 0.000 0.000 0.500 1
Pt1 Pt 0.500 0.000 0.000 1
O1 O 0.162 0.156 0.977 1
O2 O 0.228 0.746 0.884 1
O3 O 0.428 0.114 0.792 1
```

=====

Computed powder diffraction line list of CaMg2GaAu2 for Cu Kα X-rays, from a DFT-relaxed cell (PBE, Alexandria).
Neutral-atom scattering factors, no anomalous dispersion.

The 10 most intense peaks (2θ from 5° to 70°), by angle:
| d/Å | 2θ (°) | I (rel.) | (hkl) |
| --- | --- | --- | --- |
| 4.218 | 21.06 | 94 | 1 0 1 |
| 3.409 | 26.14 | 100 | 1 0 3 |
| 3.087 | 28.92 | 68 | 1 1 0 |
| 2.464 | 36.46 | 22 | 1 1 4 |
| 2.183 | 41.36 | 39 | 2 0 0 |
| 2.061 | 43.93 | 34 | 1 0 7 |
| 2.044 | 44.31 | 54 | 1 1 6 |
| 1.939 | 46.86 | 24 | 2 1 1 |
| 1.838 | 49.59 | 36 | 2 1 3 |
| 1.499 | 61.92 | 25 | 2 1 7 |

Structural model:
```
data_CaMg2GaAu2
_chemical_formula_sum 'Ca2 Mg4 Ga2 Au4'
_cell_length_a 4.366
_cell_length_b 4.366
_cell_length_c 16.365
_cell_angle_alpha 90.00
_cell_angle_beta 90.00
_cell_angle_gamma 90.00
_space_group_name_H-M_alt 'I 4/m m m'
_space_group_IT_number 139
_space_group_name_Hall '-I 4 2'
loop_
_atom_site_label
_atom_site_type_symbol
_atom_site_fract_x
_atom_site_fract_y
_atom_site_fract_z
_atom_site_occupancy
Ca1 Ca 0.000 0.000 0.000 1
Mg1 Mg 0.000 0.500 0.250 1
Ga1 Ga 0.000 0.000 0.500 1
Au1 Au 0.000 0.000 0.349 1
```

=====

Computed powder diffraction line list of LiMnPd for Cu Kα X-rays, from a DFT-relaxed cell (PBE, Alexandria).
Neutral-atom scattering factors, no anomalous dispersion.

The 10 most intense peaks (2θ from 5° to 70°), by angle:
| d/Å | 2θ (°) | I (rel.) | (hkl) |
| --- | --- | --- | --- |
| 4.232 | 20.99 | 49 | 0 0 2 |
| 3.014 | 29.64 | 73 | 1 0 1 |
| 2.281 | 39.51 | 62 | 1 1 0 |
| 2.124 | 42.57 | 100 | 1 0 3 |
| 2.008 | 45.16 | 26 | 1 1 2 |
| 1.613 | 57.11 | 20 | 2 0 0 |
| 1.551 | 59.60 | 9 | 1 1 4 |
| 1.507 | 61.53 | 10 | 2 0 2 |
| 1.499 | 61.90 | 11 | 1 0 5 |
| 1.422 | 65.66 | 15 | 2 1 1 |

Structural model:
```
data_LiMnPd
_chemical_formula_sum 'Li2 Mn2 Pd2'
_cell_length_a 3.226
_cell_length_b 3.226
_cell_length_c 8.464
_cell_angle_alpha 90.00
_cell_angle_beta 90.00
_cell_angle_gamma 90.00
_space_group_name_H-M_alt 'I 4 m m'
_space_group_IT_number 107
_space_group_name_Hall 'I 4 -2'
loop_
_atom_site_label
_atom_site_type_symbol
_atom_site_fract_x
_atom_site_fract_y
_atom_site_fract_z
_atom_site_occupancy
Li1 Li 0.000 0.000 0.000 1
Mn1 Mn 0.000 0.000 0.321 1
Pd1 Pd 0.000 0.000 0.659 1
```

=====

Computed powder diffraction line list of Nb2AlPd6 for Cu Kα X-rays, from a DFT-relaxed cell (PBE, Alexandria).
Neutral-atom scattering factors, no anomalous dispersion.

The 10 most intense peaks (2θ from 5° to 70°), by angle:
| d/Å | 2θ (°) | I (rel.) | (hkl) |
| --- | --- | --- | --- |
| 3.732 | 23.84 | 12 | 2 0 0 |
| 2.613 | 34.32 | 13 | 0 2 1 |
| 2.595 | 34.57 | 31 | 1 1 1 |
| 2.289 | 39.36 | 64 | 0 6 0 |
| 2.185 | 41.32 | 100 | 3 3 0 |
| 2.140 | 42.22 | 39 | 2 2 1 |
| 1.904 | 47.76 | 16 | 1 5 1 |
| 1.883 | 48.32 | 23 | 2 4 1 |
| 1.850 | 49.25 | 14 | 3 1 1 |
| 1.353 | 69.49 | 11 | 3 7 1 |

Structural model:
```
data_Nb2AlPd6
_chemical_formula_sum 'Nb4 Al2 Pd12'
_cell_length_a 7.464
_cell_length_b 13.734
_cell_length_c 2.825
_cell_angle_alpha 90.00
_cell_angle_beta 90.00
_cell_angle_gamma 90.00
_space_group_name_H-M_alt 'C m m m'
_space_group_IT_number 65
_space_group_name_Hall '-C 2 2'
loop_
_atom_site_label
_atom_site_type_symbol
_atom_site_fract_x
_atom_site_fract_y
_atom_site_fract_z
_atom_site_occupancy
Nb1 Nb 0.000 0.180 0.000 1
Al1 Al 0.000 0.500 0.500 1
Pd1 Pd 0.181 0.340 0.500 1
Pd2 Pd 0.189 0.000 0.000 1
```

=====

Computed powder diffraction line list of Pr5Ge2Au for Cu Kα X-rays, from a DFT-relaxed cell (PBE, Alexandria).
Neutral-atom scattering factors, no anomalous dispersion.

The 10 most intense peaks (2θ from 5° to 70°), by angle:
| d/Å | 2θ (°) | I (rel.) | (hkl) |
| --- | --- | --- | --- |
| 3.415 | 26.09 | 15 | 2 1 1 |
| 3.094 | 28.85 | 36 | 1 1 4 |
| 2.867 | 31.20 | 100 | 2 1 3 |
| 2.774 | 32.27 | 27 | 2 2 0 |
| 2.702 | 33.15 | 72 | 2 0 4 |
| 2.482 | 36.20 | 74 | 3 1 0 |
| 1.777 | 51.42 | 19 | 4 1 3 |
| 1.657 | 55.47 | 25 | 3 3 4 |
| 1.490 | 62.30 | 21 | 3 1 8 |
| 1.422 | 65.64 | 17 | 5 1 4 |

Structural model:
```
data_Pr5Ge2Au
_chemical_formula_sum 'Pr20 Ge8 Au4'
_cell_length_a 7.846
_cell_length_b 7.846
_cell_length_c 14.912
_cell_angle_alpha 90.00
_cell_angle_beta 90.00
_cell_angle_gamma 90.00
_space_group_name_H-M_alt 'I 4/m c m'
_space_group_IT_number 140
_space_group_name_Hall '-I 4 2c'
loop_
_atom_site_label
_atom_site_type_symbol
_atom_site_fract_x
_atom_site_fract_y
_atom_site_fract_z
_atom_site_occupancy
Pr1 Pr 0.000 0.000 0.000 1
Pr2 Pr 0.173 0.327 0.144 1
Ge1 Ge 0.123 0.377 0.500 1
Au1 Au 0.000 0.000 0.250 1
```

=====

Computed powder diffraction line list of Pr10Ga3Ge3 for Cu Kα X-rays, from a DFT-relaxed cell (PBE, Alexandria).
Neutral-atom scattering factors, no anomalous dispersion.

The 10 most intense peaks (2θ from 5° to 70°), by angle:
| d/Å | 2θ (°) | I (rel.) | (hkl) |
| --- | --- | --- | --- |
| 3.461 | 25.74 | 14 | 0 0 2 |
| 3.157 | 28.27 | 32 | 1 0 2 |
| 2.911 | 30.72 | 39 | 2 1 0 |
| 2.731 | 32.79 | 91 | 1 1 2 |
| 2.683 | 33.39 | 100 | 2 1 1 |
| 2.567 | 34.95 | 39 | 3 0 0 |
| 1.871 | 48.68 | 23 | 2 2 2 |
| 1.808 | 50.47 | 31 | 2 1 3 |
| 1.682 | 54.57 | 35 | 4 0 2 |
| 1.407 | 66.44 | 14 | 5 0 2 |

Structural model:
```
data_Pr10Ga3Ge3
_chemical_formula_sum 'Pr10 Ga3 Ge3'
_cell_length_a 8.8926
_cell_length_b 8.8926
_cell_length_c 6.9229
_cell_angle_alpha 90.00
_cell_angle_beta 90.00
_cell_angle_gamma 120.00
_space_group_name_H-M_alt 'P -6 2 m'
_space_group_IT_number 189
_space_group_name_Hall 'P -6 -2'
loop_
_atom_site_label
_atom_site_type_symbol
_atom_site_fract_x
_atom_site_fract_y
_atom_site_fract_z
_atom_site_occupancy
Pr1 Pr 0.0000 0.2409 0.0000 1
Pr2 Pr 0.0000 0.7531 0.5000 1
Pr3 Pr 0.3333 0.6667 0.2522 1
Ga1 Ga 0.0000 0.5970 0.0000 1
Ge1 Ge 0.0000 0.3938 0.5000 1
```

=====

Computed powder diffraction line list of YGe2Pt7Pb2 for Cu Kα X-rays, from a DFT-relaxed cell (PBE, Alexandria).
Neutral-atom scattering factors, no anomalous dispersion.

The 10 most intense peaks (2θ from 5° to 70°), by angle:
| d/Å | 2θ (°) | I (rel.) | (hkl) |
| --- | --- | --- | --- |
| 7.826 | 11.31 | 30 | 0 0 2 |
| 3.913 | 22.72 | 46 | 0 0 4 |
| 2.789 | 32.09 | 89 | 2 0 0 |
| 2.665 | 33.63 | 37 | 2 0 -3 |
| 2.490 | 36.06 | 100 | 2 0 -4 |
| 2.101 | 43.05 | 90 | 2 0 4 |
| 2.004 | 45.25 | 96 | 2 2 -1 |
| 1.919 | 47.36 | 33 | 2 0 -7 |
| 1.492 | 62.20 | 33 | 2 2 6 |
| 1.417 | 65.91 | 32 | 0 4 0 |

Structural model:
```
data_YGe2Pt7Pb2
_chemical_formula_sum 'Y2 Ge4 Pt14 Pb4'
_cell_length_a 5.668
_cell_length_b 5.669
_cell_length_c 15.902
_cell_angle_alpha 90.00
_cell_angle_beta 100.15
_cell_angle_gamma 90.00
_space_group_name_H-M_alt 'C 1 2/m 1'
_space_group_IT_number 12
loop_
_space_group_symop_operation_xyz
'x,y,z'
'-x,-y,-z'
'-x,y,-z'
'x,-y,z'
'x+1/2,y+1/2,z'
'-x+1/2,-y+1/2,-z'
'-x+1/2,y+1/2,-z'
'x+1/2,-y+1/2,z'
loop_
_atom_site_label
_atom_site_type_symbol
_atom_site_fract_x
_atom_site_fract_y
_atom_site_fract_z
_atom_site_occupancy
Y1 Y 0.000 0.000 0.000 1
Ge1 Ge 0.116 0.500 0.235 1
Pt1 Pt 0.000 0.500 0.000 1
Pt2 Pt 0.181 0.250 0.860 1
Pt3 Pt 0.196 0.500 0.391 1
Pb1 Pb 0.211 0.000 0.422 1
```

=====

Computed powder diffraction line list of BMo2H for Cu Kα X-rays, from a DFT-relaxed cell (PBE, Alexandria).
Neutral-atom scattering factors, no anomalous dispersion.

The 10 most intense peaks (2θ from 5° to 70°), by angle:
| d/Å | 2θ (°) | I (rel.) | (hkl) |
| --- | --- | --- | --- |
| 2.739 | 32.69 | 12 | 0 0 2 |
| 2.702 | 33.15 | 18 | 0 1 1 |
| 2.368 | 38.01 | 46 | 1 0 2 |
| 2.354 | 38.23 | 30 | 2 0 0 |
| 2.344 | 38.41 | 100 | 1 1 1 |
| 1.785 | 51.16 | 9 | 2 0 2 |
| 1.775 | 51.48 | 15 | 2 1 1 |
| 1.574 | 58.64 | 18 | 0 1 3 |
| 1.553 | 59.51 | 9 | 0 2 0 |
| 1.357 | 69.22 | 17 | 3 1 1 |

Structural model:
```
data_BMo2H
_chemical_formula_sum 'B2 Mo4 H2'
_cell_length_a 4.709
_cell_length_b 3.107
_cell_length_c 5.478
_cell_angle_alpha 90.00
_cell_angle_beta 90.00
_cell_angle_gamma 90.00
_space_group_name_H-M_alt 'P m m a'
_space_group_IT_number 51
loop_
_space_group_symop_operation_xyz
'x,y,z'
'-x,-y,-z'
'-x+1/2,-y,z'
'x+1/2,y,-z'
'x+1/2,-y,-z'
'-x+1/2,y,z'
'-x,y,-z'
'x,-y,z'
loop_
_atom_site_label
_atom_site_type_symbol
_atom_site_fract_x
_atom_site_fract_y
_atom_site_fract_z
_atom_site_occupancy
B1 B 0.000 0.000 0.000 1
Mo1 Mo 0.250 0.000 0.348 1
Mo2 Mo 0.250 0.500 0.812 1
H1 H 0.000 0.500 0.500 1
```